Diffraction record for TlAgTe2. The X-ray powder pattern is theoretical, not measured: it uses DFT lattice parameters and positions (GGA-PBE) and CuKα.

Structure:
```
4
Lattice="4.6935 0.0000 0.0000 -2.3468 4.0647 0.0000 0.0000 0.0000 7.3573" Properties=species:S:1:pos:R:3 pbc="T T T"
Tl 0.0000 0.0000 0.0000
Ag 2.3468 1.3549 3.1387
Te 0.0000 0.0000 2.8904
Te 0.0000 2.7098 6.0550
```

Principal peaks in the range 5° ≤ 2θ ≤ 70°, sorted by position:
21.87 deg, d = 4.065 Å, rel. 44; 25.03 deg, d = 3.558 Å, rel. 100; 32.84 deg, d = 2.728 Å, rel. 53; 38.36 deg, d = 2.347 Å, rel. 78; 43.08 deg, d = 2.100 Å, rel. 44; 45.87 deg, d = 1.978 Å, rel. 43

---

Diffraction record for Tl3AgTe4. The X-ray powder pattern is theoretical, not measured: it uses DFT lattice parameters and positions (GGA-PBE) and CuKα.

Structure:
```
8
Lattice="11.7049 -2.7214 0.0000 11.7049 2.7214 0.0000 -0.2180 0.0000 4.5890" Properties=species:S:1:pos:R:3 pbc="T T T"
Tl 0.0000 0.0000 0.0000
Tl 4.0572 0.0000 4.2796
Tl 19.1346 0.0000 0.3094
Ag 11.5959 0.0000 2.2945
Te 7.1317 0.0000 2.5853
Te 9.5198 0.0000 4.0514
Te 13.6719 0.0000 0.5377
Te 16.0601 0.0000 2.0037
```

Principal peaks in the range 5° ≤ 2θ ≤ 70°, sorted by position:
22.82 deg, d = 3.897 Å, rel. 31; 25.81 deg, d = 3.451 Å, rel. 76; 31.31 deg, d = 2.857 Å, rel. 100; 32.45 deg, d = 2.759 Å, rel. 77; 32.91 deg, d = 2.721 Å, rel. 59; 58.48 deg, d = 1.578 Å, rel. 28

---

Diffraction record for Tl5Ag2Te4. The X-ray powder pattern is theoretical, not measured: it uses DFT lattice parameters and positions (GGA-PBE) and CuKα.

Structure:
```
11
Lattice="11.2904 -2.1853 0.0000 11.2904 2.1853 0.0000 -2.7695 0.0000 7.8350" Properties=species:S:1:pos:R:3 pbc="T T T"
Tl 0.0000 0.0000 0.0000
Tl 5.9819 0.0000 4.6653
Tl 7.5656 0.0000 0.4631
Tl 12.2457 0.0000 7.3719
Tl 13.8294 0.0000 3.1697
Ag -0.1717 0.0000 4.6062
Ag 19.9830 0.0000 3.2288
Te 2.4410 0.0000 5.5436
Te 9.2744 0.0000 5.5606
Te 10.5369 0.0000 2.2744
Te 17.3704 0.0000 2.2914
```

Principal peaks in the range 5° ≤ 2θ ≤ 70°, sorted by position:
23.91 deg, d = 3.722 Å, rel. 39; 25.10 deg, d = 3.548 Å, rel. 65; 29.86 deg, d = 2.992 Å, rel. 55; 30.09 deg, d = 2.970 Å, rel. 100; 35.97 deg, d = 2.496 Å, rel. 39; 41.31 deg, d = 2.185 Å, rel. 38

---

Diffraction record for TlAg2Te. The X-ray powder pattern is theoretical, not measured: it uses DFT lattice parameters and positions (GGA-PBE) and CuKα.

Structure:
```
4
Lattice="3.8732 -2.3272 0.0000 3.8732 2.3272 0.0000 -2.9448 0.0000 5.7487" Properties=species:S:1:pos:R:3 pbc="T T T"
Tl 0.0000 0.0000 0.0000
Ag -0.2474 0.0000 4.1441
Ag 5.0490 0.0000 1.6045
Te 2.4008 0.0000 2.8743
```

Principal peaks in the range 5° ≤ 2θ ≤ 70°, sorted by position:
30.06 deg, d = 2.973 Å, rel. 53; 31.04 deg, d = 2.881 Å, rel. 100; 38.69 deg, d = 2.327 Å, rel. 28; 39.99 deg, d = 2.255 Å, rel. 50; 47.28 deg, d = 1.923 Å, rel. 28; 49.74 deg, d = 1.833 Å, rel. 38

---

Diffraction record for Tl3AgTe2. The X-ray powder pattern is theoretical, not measured: it uses DFT lattice parameters and positions (GGA-PBE) and CuKα.

Structure:
```
12
Lattice="-3.8109 7.4723 3.5702 3.8109 -7.4723 3.5702 3.8109 7.4723 -3.5702" Properties=species:S:1:pos:R:3 pbc="T T T"
Tl 5.5790 2.3993 0.0000
Tl 0.0000 0.0000 1.7851
Tl 1.7681 5.0730 0.0000
Tl 2.0428 2.3993 3.5702
Tl 0.0000 0.0000 5.3553
Tl -1.7681 5.0730 3.5702
Ag 3.8109 0.0000 1.7851
Ag 0.0000 7.4723 1.7851
Te 2.3149 1.7792 0.0000
Te 2.3149 -1.7792 3.5702
Te 1.4960 9.2515 0.0000
Te 1.4960 5.6932 3.5702
```

Principal peaks in the range 5° ≤ 2θ ≤ 70°, sorted by position:
26.25 deg, d = 3.395 Å, rel. 54; 27.69 deg, d = 3.221 Å, rel. 48; 29.42 deg, d = 3.036 Å, rel. 44; 33.59 deg, d = 2.668 Å, rel. 75; 34.42 deg, d = 2.605 Å, rel. 100; 34.76 deg, d = 2.581 Å, rel. 79

---

Diffraction record for TlAgTe2. The X-ray powder pattern is theoretical, not measured: it uses DFT lattice parameters and positions (GGA-PBE) and CuKα.

Structure:
```
8
Lattice="3.0359 -6.7621 0.0000 3.0359 6.7621 0.0000 -2.7112 0.0000 6.0467" Properties=species:S:1:pos:R:3 pbc="T T T"
Tl 1.0025 5.1786 4.5350
Tl 2.3581 -5.1786 1.5117
Ag 2.3581 2.8132 1.5117
Ag 1.0025 -2.8132 4.5350
Te -0.3627 1.6029 4.9685
Te 0.9928 -1.6029 1.9451
Te 2.3678 1.6029 4.1015
Te 3.7233 -1.6029 1.0782
```

Principal peaks in the range 5° ≤ 2θ ≤ 70°, sorted by position:
25.93 deg, d = 3.436 Å, rel. 34; 26.36 deg, d = 3.381 Å, rel. 50; 29.55 deg, d = 3.023 Å, rel. 55; 32.36 deg, d = 2.766 Å, rel. 100; 32.73 deg, d = 2.736 Å, rel. 56; 45.52 deg, d = 1.993 Å, rel. 33

---

Diffraction record for Tl2Ag3Te3. The X-ray powder pattern is theoretical, not measured: it uses DFT lattice parameters and positions (GGA-PBE) and CuKα.

Structure:
```
16
Lattice="8.1593 0.0000 0.0000 -4.0796 7.0661 0.0000 0.0000 0.0000 9.5600" Properties=species:S:1:pos:R:3 pbc="T T T"
Tl 0.0000 4.7108 0.0000
Tl 0.0000 4.7108 4.7800
Tl 4.0796 2.3554 0.0000
Tl 4.0796 2.3554 4.7800
Ag -1.3638 2.3622 2.3900
Ag -2.7158 4.7039 7.1700
Ag 2.7277 0.0000 2.3900
Ag 1.3638 2.3622 7.1700
Ag 5.4316 0.0000 7.1700
Ag 2.7158 4.7039 2.3900
Te -1.3547 2.3463 7.1700
Te -2.7250 4.7198 2.3900
Te 2.7093 0.0000 7.1700
Te 1.3547 2.3463 2.3900
Te 5.4499 0.0000 2.3900
Te 2.7250 4.7198 7.1700
```

Principal peaks in the range 5° ≤ 2θ ≤ 70°, sorted by position:
12.53 deg, d = 7.066 Å, rel. 24; 28.77 deg, d = 3.103 Å, rel. 100; 38.21 deg, d = 2.355 Å, rel. 51; 48.52 deg, d = 1.876 Å, rel. 24; 54.71 deg, d = 1.678 Å, rel. 35; 63.38 deg, d = 1.467 Å, rel. 21

---

Diffraction record for UTlAg2Te4. The X-ray powder pattern is theoretical, not measured: it uses DFT lattice parameters and positions (GGA-PBE) and CuKα.

Structure:
```
8
Lattice="-3.7245 4.0457 4.1294 3.7245 -4.0457 4.1294 3.7245 4.0457 -4.1294" Properties=species:S:1:pos:R:3 pbc="T T T"
U 0.0000 0.0000 0.0000
Tl 0.0000 0.0000 4.1294
Ag 3.7245 0.0000 1.4322
Ag 0.0000 4.0457 2.6972
Te 1.7144 1.9079 -1.5371
Te 2.0101 -2.1378 5.6665
Te 2.0101 2.1378 2.5923
Te 1.7144 6.1835 1.5371
```

Principal peaks in the range 5° ≤ 2θ ≤ 70°, sorted by position:
27.04 deg, d = 3.298 Å, rel. 100; 30.94 deg, d = 2.890 Å, rel. 33; 32.37 deg, d = 2.766 Å, rel. 29; 32.68 deg, d = 2.740 Å, rel. 91; 41.80 deg, d = 2.161 Å, rel. 32; 44.00 deg, d = 2.058 Å, rel. 27

---

Diffraction record for TmAg2Te3. The X-ray powder pattern is theoretical, not measured: it uses DFT lattice parameters and positions (GGA-PBE) and CuKα.

Structure:
```
12
Lattice="10.9967 -2.1279 0.0000 10.9967 2.1279 0.0000 -0.6198 0.0000 7.7144" Properties=species:S:1:pos:R:3 pbc="T T T"
Tm 3.2964 0.0000 0.3871
Tm 18.0771 0.0000 7.3273
Ag 4.2599 0.0000 3.4090
Ag 9.5583 0.0000 6.4817
Ag 11.8152 0.0000 1.2327
Ag 17.1135 0.0000 4.3055
Te 1.5370 0.0000 2.8866
Te 5.1061 0.0000 6.1007
Te 8.9414 0.0000 1.3246
Te 12.4321 0.0000 6.3898
Te 16.2673 0.0000 1.6137
Te 19.8365 0.0000 4.8279
```

Principal peaks in the range 5° ≤ 2θ ≤ 70°, sorted by position:
24.20 deg, d = 3.678 Å, rel. 74; 27.26 deg, d = 3.271 Å, rel. 100; 38.25 deg, d = 2.353 Å, rel. 51; 40.93 deg, d = 2.205 Å, rel. 94; 42.48 deg, d = 2.128 Å, rel. 56; 43.60 deg, d = 2.076 Å, rel. 45

---

Diffraction record for Tm5AgTe8. The X-ray powder pattern is theoretical, not measured: it uses DFT lattice parameters and positions (GGA-PBE) and CuKα.

Structure:
```
14
Lattice="0.0000 6.2915 6.2915 6.2915 0.0000 6.2915 6.2915 6.2915 0.0000" Properties=species:S:1:pos:R:3 pbc="T T T"
Tm 0.0000 0.0000 0.0000
Tm 7.7915 4.7914 4.7914
Tm 4.7914 7.7915 4.7914
Tm 4.7914 4.7914 7.7915
Tm 7.7915 7.7915 7.7915
Ag 3.1457 3.1457 3.1457
Te 4.7779 4.7779 4.7779
Te 7.8050 7.8050 4.7779
Te 7.8050 4.7779 7.8050
Te 10.8981 7.9763 7.9763
Te 4.7779 7.8050 7.8050
Te 7.9763 10.8981 7.9763
Te 7.9763 7.9763 10.8981
Te 10.8981 10.8981 10.8981
```

Principal peaks in the range 5° ≤ 2θ ≤ 70°, sorted by position:
23.45 deg, d = 3.794 Å, rel. 60; 28.37 deg, d = 3.146 Å, rel. 67; 37.13 deg, d = 2.422 Å, rel. 37; 40.56 deg, d = 2.224 Å, rel. 100; 50.23 deg, d = 1.816 Å, rel. 17; 66.46 deg, d = 1.407 Å, rel. 21

---

Diffraction record for Tm4AgTe. The X-ray powder pattern is theoretical, not measured: it uses DFT lattice parameters and positions (GGA-PBE) and CuKα.

Structure:
```
12
Lattice="5.8375 0.0000 0.0000 0.0000 8.2415 0.0000 -2.3080 0.0000 7.4542" Properties=species:S:1:pos:R:3 pbc="T T T"
Tm -0.4891 0.4192 1.7635
Tm -0.4891 3.7016 1.7635
Tm 2.3360 2.0604 0.1266
Tm 1.3049 6.1812 3.8287
Tm 2.2246 2.0604 3.6256
Tm 1.1935 6.1812 7.3276
Tm 4.0186 4.5399 5.6908
Tm 4.0186 7.8224 5.6908
Ag 0.7476 6.1812 0.7019
Ag 2.7819 2.0604 6.7523
Te -0.6544 2.0604 4.3637
Te 4.1839 6.1812 3.0905
```

Principal peaks in the range 5° ≤ 2θ ≤ 70°, sorted by position:
26.90 deg, d = 3.314 Å, rel. 42; 32.39 deg, d = 2.764 Å, rel. 74; 32.63 deg, d = 2.744 Å, rel. 100; 36.63 deg, d = 2.453 Å, rel. 29; 40.61 deg, d = 2.222 Å, rel. 25; 50.63 deg, d = 1.803 Å, rel. 27

---

Diffraction record for UAg3Te4. The X-ray powder pattern is theoretical, not measured: it uses DFT lattice parameters and positions (GGA-PBE) and CuKα.

Structure:
```
8
Lattice="6.6351 0.0000 0.0000 0.0000 6.6351 0.0000 0.0000 0.0000 6.6351" Properties=species:S:1:pos:R:3 pbc="T T T"
U 0.0000 0.0000 0.0000
Ag 0.0000 0.0000 3.3176
Ag 0.0000 3.3176 0.0000
Ag 3.3176 0.0000 0.0000
Te 1.6647 1.6647 1.6647
Te 1.6647 4.9704 4.9704
Te 4.9704 1.6647 4.9704
Te 4.9704 4.9704 1.6647
```

Principal peaks in the range 5° ≤ 2θ ≤ 70°, sorted by position:
13.34 deg, d = 6.635 Å, rel. 65; 23.22 deg, d = 3.831 Å, rel. 57; 30.12 deg, d = 2.967 Å, rel. 40; 38.37 deg, d = 2.346 Å, rel. 100; 45.33 deg, d = 2.001 Å, rel. 28; 69.39 deg, d = 1.354 Å, rel. 34